1.
# Y7Ho6
Theoretical powder X-ray diffraction pattern, λ = 1.5418 Å (Cu Kα). Input: a structure optimized by DFT (GGA-PBE).
Lines closer than 0.1° are merged.

Crystal structure
Cell lengths 6.5564, 6.5564, 34.9475 Å; angles 90.00, 90.00, 120.00 degrees
Space group R-3m (No. 166, hexagonal axes)
Unique sites:
Y  0.0000  0.0000  0.0000 (multiplicity 3)
Y  0.0043  0.5022  0.4123 (multiplicity 18)
Ho  0.0000  0.0000  0.1665 (multiplicity 6)
Ho  0.0000  0.0000  0.3524 (multiplicity 6)
Ho  0.0000  0.0000  0.4538 (multiplicity 6)

Principal peaks in the range 10 to 90 degrees two-theta, in order of rising 2θ:
Position (°2θ)  d_spacing  intensity
27.20  3.278  91
30.02  2.976  65
31.31  2.857  100
31.62  2.830  41
32.29  2.773  72
34.09  2.630  36
49.86  1.829  31
50.72  1.800  26
51.38  1.778  39
56.11  1.639  40

2.
# PaSnTe3
Theoretical powder X-ray diffraction pattern, λ = 1.5418 Å (Cu Kα). Input: a structure optimized by DFT (GGA-PBE).
Lines closer than 0.1° are merged.

Crystal structure
Cell lengths 7.8838, 4.3488, 12.4185 Å; angles 90.00, 106.21, 90.00 degrees
Space group P2_1/m (No. 11)
Unique sites:
Pa  0.2335  0.2500  0.4262 (multiplicity 2)
Sn  0.1546  0.2500  0.8887 (multiplicity 2)
Te  0.0631  0.2500  0.6301 (multiplicity 2)
Te  0.1093  0.2500  0.1499 (multiplicity 2)
Te  0.4581  0.7500  0.3561 (multiplicity 2)

Principal peaks in the range 10 to 90 degrees two-theta, in order of rising 2θ:
Position (°2θ)  d_spacing  intensity
11.69  7.570  47
11.97  7.393  40
23.59  3.771  100
28.96  3.083  33
29.97  2.981  41
31.33  2.855  64
31.77  2.816  53
36.54  2.459  32
38.81  2.320  42
41.53  2.174  34

3.
# NaMg2F5
Theoretical powder X-ray diffraction pattern, λ = 1.5418 Å (Cu Kα). Input: a structure optimized by DFT (GGA-PBE).
Lines closer than 0.1° are merged.

Crystal structure
Cell lengths 3.8789, 10.3716, 9.9947 Å; angles 90.00, 90.00, 90.00 degrees
Space group Cmcm (No. 63)
Unique sites:
Na  0.0000  0.0836  0.2500 (multiplicity 4)
Mg  0.0000  0.3603  0.0595 (multiplicity 8)
F  0.0000  0.1750  0.5322 (multiplicity 8)
F  0.0000  0.3016  0.2500 (multiplicity 4)
F  0.0000  0.4559  0.6170 (multiplicity 8)

Principal peaks in the range 10 to 90 degrees two-theta, in order of rising 2θ:
Position (°2θ)  d_spacing  intensity
17.75  4.997  60
24.50  3.633  67
26.10  3.415  72
31.93  2.803  68
35.78  2.510  95
43.98  2.059  61
46.84  1.939  100
53.33  1.718  50
57.48  1.603  35
60.31  1.535  50

4.
# K3Cu2Sn7
Theoretical powder X-ray diffraction pattern, λ = 1.5418 Å (Cu Kα). Input: a structure optimized by DFT (GGA-PBE).
Lines closer than 0.1° are merged.

Crystal structure
Cell lengths 6.2249, 4.5597, 13.1283 Å; angles 90.00, 101.80, 90.00 degrees
Space group P2/m (No. 10)
Unique sites:
K  0.0000  0.0000  0.0000 (multiplicity 1)
K  0.2054  0.0000  0.3930 (multiplicity 2)
Cu  0.3421  0.5000  0.1835 (multiplicity 2)
Sn  0.0740  0.5000  0.8057 (multiplicity 2)
Sn  0.3306  0.5000  0.6404 (multiplicity 2)
Sn  0.4220  0.0000  0.8144 (multiplicity 2)
Sn  0.5000  0.5000  0.0000 (multiplicity 1)

Principal peaks in the range 10 to 90 degrees two-theta, in order of rising 2θ:
Position (°2θ)  d_spacing  intensity
13.78  6.425  45
14.76  6.001  31
19.47  4.560  31
29.59  3.019  100
30.16  2.964  94
34.91  2.570  51
39.53  2.280  47
40.44  2.231  31
41.47  2.177  41
53.75  1.705  27

5.
# Ho3AlTl3Te8
Theoretical powder X-ray diffraction pattern, λ = 1.5418 Å (Cu Kα). Input: a structure optimized by DFT (GGA-PBE).
Lines closer than 0.1° are merged.

Crystal structure
Cell lengths 15.0603, 8.6822, 9.6042 Å; angles 90.00, 121.51, 90.00 degrees
Space group C2/m (No. 12)
Unique sites:
Ho  0.0000  0.0000  0.0000 (multiplicity 2)
Ho  0.2500  0.2500  0.0000 (multiplicity 4)
Al  0.0000  0.5000  0.0000 (multiplicity 2)
Tl  0.0000  0.5000  0.5000 (multiplicity 2)
Tl  0.2500  0.2500  0.5000 (multiplicity 4)
Te  0.0109  0.2663  0.7990 (multiplicity 8)
Te  0.2227  0.5000  0.2010 (multiplicity 4)
Te  0.2385  0.0000  0.2157 (multiplicity 4)

Principal peaks in the range 10 to 90 degrees two-theta, in order of rising 2θ:
Position (°2θ)  d_spacing  intensity
13.80  6.416  13
27.81  3.208  100
29.94  2.984  9
37.82  2.379  36
41.58  2.172  35
50.76  1.799  18
57.45  1.604  10
62.33  1.490  12
67.63  1.385  15
73.37  1.290  10

6.
# Li5Zn3Ga
Theoretical powder X-ray diffraction pattern, λ = 1.5418 Å (Cu Kα). Input: a structure optimized by DFT (GGA-PBE).
Lines closer than 0.1° are merged.

Crystal structure
Cell lengths 9.2757, 7.5897, 9.9651 Å; angles 90.00, 98.78, 90.00 degrees
Space group C2/m (No. 12)
Unique sites:
Li  0.0000  0.1735  0.0000 (multiplicity 4)
Li  0.0278  0.0000  0.3547 (multiplicity 4)
Li  0.2061  0.3042  0.6621 (multiplicity 8)
Li  0.2277  0.0000  0.8480 (multiplicity 4)
Zn  0.0000  0.5000  0.0000 (multiplicity 2)
Zn  0.0000  0.5000  0.5000 (multiplicity 2)
Zn  0.2446  0.0000  0.5639 (multiplicity 4)
Zn  0.2458  0.5000  0.8911 (multiplicity 4)
Ga  0.0251  0.5000  0.2511 (multiplicity 4)

Principal peaks in the range 10 to 90 degrees two-theta, in order of rising 2θ:
Position (°2θ)  d_spacing  intensity
15.16  5.846  100
22.45  3.961  30
23.44  3.795  82
24.75  3.598  21
34.17  2.624  18
38.80  2.321  19
39.31  2.292  22
41.14  2.194  28
45.23  2.005  20
46.28  1.962  24

Copy entry 6 word for word.
# Li5Zn3Ga
Theoretical powder X-ray diffraction pattern, λ = 1.5418 Å (Cu Kα). Input: a structure optimized by DFT (GGA-PBE).
Lines closer than 0.1° are merged.

Crystal structure
Cell lengths 9.2757, 7.5897, 9.9651 Å; angles 90.00, 98.78, 90.00 degrees
Space group C2/m (No. 12)
Unique sites:
Li  0.0000  0.1735  0.0000 (multiplicity 4)
Li  0.0278  0.0000  0.3547 (multiplicity 4)
Li  0.2061  0.3042  0.6621 (multiplicity 8)
Li  0.2277  0.0000  0.8480 (multiplicity 4)
Zn  0.0000  0.5000  0.0000 (multiplicity 2)
Zn  0.0000  0.5000  0.5000 (multiplicity 2)
Zn  0.2446  0.0000  0.5639 (multiplicity 4)
Zn  0.2458  0.5000  0.8911 (multiplicity 4)
Ga  0.0251  0.5000  0.2511 (multiplicity 4)

Principal peaks in the range 10 to 90 degrees two-theta, in order of rising 2θ:
Position (°2θ)  d_spacing  intensity
15.16  5.846  100
22.45  3.961  30
23.44  3.795  82
24.75  3.598  21
34.17  2.624  18
38.80  2.321  19
39.31  2.292  22
41.14  2.194  28
45.23  2.005  20
46.28  1.962  24

What did the sixth record say?
# Li5Zn3Ga
Theoretical powder X-ray diffraction pattern, λ = 1.5418 Å (Cu Kα). Input: a structure optimized by DFT (GGA-PBE).
Lines closer than 0.1° are merged.

Crystal structure
Cell lengths 9.2757, 7.5897, 9.9651 Å; angles 90.00, 98.78, 90.00 degrees
Space group C2/m (No. 12)
Unique sites:
Li  0.0000  0.1735  0.0000 (multiplicity 4)
Li  0.0278  0.0000  0.3547 (multiplicity 4)
Li  0.2061  0.3042  0.6621 (multiplicity 8)
Li  0.2277  0.0000  0.8480 (multiplicity 4)
Zn  0.0000  0.5000  0.0000 (multiplicity 2)
Zn  0.0000  0.5000  0.5000 (multiplicity 2)
Zn  0.2446  0.0000  0.5639 (multiplicity 4)
Zn  0.2458  0.5000  0.8911 (multiplicity 4)
Ga  0.0251  0.5000  0.2511 (multiplicity 4)

Principal peaks in the range 10 to 90 degrees two-theta, in order of rising 2θ:
Position (°2θ)  d_spacing  intensity
15.16  5.846  100
22.45  3.961  30
23.44  3.795  82
24.75  3.598  21
34.17  2.624  18
38.80  2.321  19
39.31  2.292  22
41.14  2.194  28
45.23  2.005  20
46.28  1.962  24